1.
Simulated powder diffractogram
Compound: Ce2Bi3
Radiation: CuKα
Structure: a cell relaxed with PBE
Kinematic intensities with the Lorentz-polarization factor, no thermal factor.

Structure:
```
data_Ce2Bi3
_chemical_formula_sum 'Ce2 Bi3'
_cell_length_a 4.735
_cell_length_b 4.735
_cell_length_c 8.965
_cell_angle_alpha 90.00
_cell_angle_beta 90.00
_cell_angle_gamma 120.00
_symmetry_space_group_name_H-M 'P 1'
_symmetry_Int_Tables_number 1
_symmetry_space_group_name_Hall 'P 1'
loop_
_atom_site_label
_atom_site_fract_x
_atom_site_fract_y
_atom_site_fract_z
_atom_site_occupancy
Ce1 0.333 0.667 0.300 1
Ce2 0.667 0.333 0.700 1
Bi1 0.000 0.000 0.500 1
Bi2 0.333 0.667 0.900 1
Bi3 0.667 0.333 0.100 1
```

Peak list (8 most intense, 2θ from 10° to 80°, sorted by position)
2theta	I (rel.)
23.9	62
29.5	100
37.2	55
38.0	70
48.8	25
63.5	23
65.3	30
68.2	19

=====

2.
Simulated powder diffractogram
Compound: CeBi6
Radiation: CuKα
Structure: a cell relaxed with PBE
Kinematic intensities with the Lorentz-polarization factor, no thermal factor.

Structure:
```
data_CeBi6
_chemical_formula_sum 'Ce1 Bi6'
_cell_length_a 7.589
_cell_length_b 7.589
_cell_length_c 7.589
_cell_angle_alpha 109.47
_cell_angle_beta 109.47
_cell_angle_gamma 109.47
_symmetry_space_group_name_H-M 'P 1'
_symmetry_Int_Tables_number 1
_symmetry_space_group_name_Hall 'P 1'
loop_
_atom_site_label
_atom_site_fract_x
_atom_site_fract_y
_atom_site_fract_z
_atom_site_occupancy
Ce1 0.000 0.000 0.000 1
Bi1 0.250 0.500 0.750 1
Bi2 0.250 0.750 0.500 1
Bi3 0.500 0.250 0.750 1
Bi4 0.500 0.750 0.250 1
Bi5 0.750 0.250 0.500 1
Bi6 0.750 0.500 0.250 1
```

Peak list (8 most intense, 2θ from 10° to 80°, sorted by position)
2theta	I (rel.)
14.3	42
20.3	41
24.9	100
35.5	54
38.4	66
41.2	42
59.7	29
71.4	23

=====

3.
Simulated powder diffractogram
Compound: Ce2BiCl
Radiation: CuKα
Structure: a cell relaxed with PBE
Kinematic intensities with the Lorentz-polarization factor, no thermal factor.

Structure:
```
data_Ce2BiCl
_chemical_formula_sum 'Ce2 Bi1 Cl1'
_cell_length_a 7.342
_cell_length_b 7.342
_cell_length_c 7.342
_cell_angle_alpha 34.59
_cell_angle_beta 34.59
_cell_angle_gamma 34.59
_symmetry_space_group_name_H-M 'P 1'
_symmetry_Int_Tables_number 1
_symmetry_space_group_name_Hall 'P 1'
loop_
_atom_site_label
_atom_site_fract_x
_atom_site_fract_y
_atom_site_fract_z
_atom_site_occupancy
Ce1 0.237 0.237 0.237 1
Ce2 0.763 0.763 0.763 1
Bi1 0.000 0.000 0.000 1
Cl1 0.500 0.500 0.500 1
```

Peak list (8 most intense, 2θ from 10° to 80°, sorted by position)
2theta	I (rel.)
23.9	23
29.3	100
32.1	24
41.4	41
42.3	31
51.5	21
58.3	14
68.1	18

=====

4.
Simulated powder diffractogram
Compound: Ce6CoBi
Radiation: CuKα
Structure: a cell relaxed with PBE
Kinematic intensities with the Lorentz-polarization factor, no thermal factor.

Structure:
```
data_Ce6CoBi
_chemical_formula_sum 'Ce6 Co1 Bi1'
_cell_length_a 6.424
_cell_length_b 6.424
_cell_length_c 6.421
_cell_angle_alpha 106.22
_cell_angle_beta 106.22
_cell_angle_gamma 113.91
_symmetry_space_group_name_H-M 'P 1'
_symmetry_Int_Tables_number 1
_symmetry_space_group_name_Hall 'P 1'
loop_
_atom_site_label
_atom_site_fract_x
_atom_site_fract_y
_atom_site_fract_z
_atom_site_occupancy
Ce1 0.058 0.580 0.783 1
Ce2 0.218 0.218 0.819 1
Ce3 0.420 0.942 0.217 1
Ce4 0.580 0.058 0.783 1
Ce5 0.782 0.782 0.181 1
Ce6 0.942 0.420 0.217 1
Co1 0.000 0.000 0.000 1
Bi1 0.500 0.500 0.500 1
```

Peak list (8 most intense, 2θ from 10° to 80°, sorted by position)
2theta	I (rel.)
28.2	67
29.1	36
30.5	100
30.8	75
33.3	98
36.6	46
37.0	50
46.0	52

=====

5.
Simulated powder diffractogram
Compound: Ce4Co2Bi
Radiation: CuKα
Structure: a cell relaxed with PBE
Kinematic intensities with the Lorentz-polarization factor, no thermal factor.

Structure:
```
data_Ce4Co2Bi
_chemical_formula_sum 'Ce8 Co4 Bi2'
_cell_length_a 7.650
_cell_length_b 7.650
_cell_length_c 7.650
_cell_angle_alpha 106.10
_cell_angle_beta 106.10
_cell_angle_gamma 116.45
_symmetry_space_group_name_H-M 'P 1'
_symmetry_Int_Tables_number 1
_symmetry_space_group_name_Hall 'P 1'
loop_
_atom_site_label
_atom_site_fract_x
_atom_site_fract_y
_atom_site_fract_z
_atom_site_occupancy
Ce1 0.259 0.521 0.093 1
Ce2 0.416 0.177 0.406 1
Ce3 0.428 0.166 0.907 1
Ce4 0.479 0.572 0.738 1
Ce5 0.770 0.010 0.594 1
Ce6 0.823 0.230 0.239 1
Ce7 0.834 0.741 0.262 1
Ce8 0.990 0.584 0.761 1
Co1 0.126 0.253 0.628 1
Co2 0.502 0.874 0.127 1
Co3 0.625 0.498 0.372 1
Co4 0.747 0.375 0.873 1
Bi1 0.000 0.000 0.000 1
Bi2 0.250 0.750 0.500 1
```

Peak list (8 most intense, 2θ from 10° to 80°, sorted by position)
2theta	I (rel.)
24.3	33
26.0	28
29.5	27
30.7	68
31.2	100
34.8	66
37.0	79
38.2	73

=====

6.
Simulated powder diffractogram
Compound: Ce5CoBi4
Radiation: CuKα
Structure: a cell relaxed with PBE
Kinematic intensities with the Lorentz-polarization factor, no thermal factor.

Structure:
```
data_Ce5CoBi4
_chemical_formula_sum 'Ce5 Co1 Bi4'
_cell_length_a 7.668
_cell_length_b 7.668
_cell_length_c 7.668
_cell_angle_alpha 100.06
_cell_angle_beta 100.06
_cell_angle_gamma 130.60
_symmetry_space_group_name_H-M 'P 1'
_symmetry_Int_Tables_number 1
_symmetry_space_group_name_Hall 'P 1'
loop_
_atom_site_label
_atom_site_fract_x
_atom_site_fract_y
_atom_site_fract_z
_atom_site_occupancy
Ce1 0.000 0.000 0.000 1
Ce2 0.244 0.593 0.837 1
Ce3 0.407 0.244 0.650 1
Ce4 0.593 0.756 0.350 1
Ce5 0.756 0.407 0.163 1
Co1 0.500 0.500 0.000 1
Bi1 0.083 0.311 0.394 1
Bi2 0.311 0.917 0.228 1
Bi3 0.689 0.083 0.772 1
Bi4 0.917 0.689 0.606 1
```

Peak list (8 most intense, 2θ from 10° to 80°, sorted by position)
2theta	I (rel.)
27.8	61
28.7	100
30.6	17
35.7	18
40.4	81
41.0	30
50.3	34
65.5	20